Record 1
Starting from a crystal structure in Alexandria, relaxed with GGA-PBE, the powder X-ray diffraction pattern of LaHo2IrN4 was simulated for Cu Kα X-rays.
No peak broadening, texture or thermal motion is included.

Principal peaks in the range 15 to 90 degrees two-theta, by intensity:
d (Å)  intensity
2.867  100
2.367  89
2.966  57
2.897  38
5.281  27
2.073  25
1.470  21
2.159  21

Structure:
```
data_LaHo2IrN4
_chemical_formula_sum 'La4 Ho8 Ir4 N16'
_space_group_name_H-M_alt 'C m c m'
_space_group_IT_number 63
_space_group_name_Hall '-C 2c 2'
_cell_length_a 3.4334
_cell_length_b 11.8648
_cell_length_c 11.5881
_cell_angle_alpha 90.00
_cell_angle_beta 90.00
_cell_angle_gamma 90.00
loop_
_atom_site_label
_atom_site_type_symbol
_atom_site_fract_x
_atom_site_fract_y
_atom_site_fract_z
La1 La 0.0000 0.1118 0.2500
Ho1 Ho 0.0000 0.3699 0.0435
Ir1 Ir 0.0000 0.1483 0.7500
N1 N 0.0000 0.0000 0.0000
N2 N 0.0000 0.2690 0.6248
N3 N 0.0000 0.4472 0.2500
```



Record 2
Starting from a crystal structure in Alexandria, relaxed with GGA-PBE, the powder X-ray diffraction pattern of LiHo4Ir2 was simulated for Cu Kα X-rays.
No peak broadening, texture or thermal motion is included.

Principal peaks in the range 15 to 90 degrees two-theta, by intensity:
d (Å)  intensity
2.473  100
2.689  70
4.233  57
2.786  48
3.059  42
2.007  35
2.450  32
2.143  30

Structure:
```
data_LiHo4Ir2
_chemical_formula_sum 'Li4 Ho16 Ir8'
_space_group_name_H-M_alt 'C 1 2 1'
_space_group_IT_number 5
_cell_length_a 10.4061
_cell_length_b 8.8517
_cell_length_c 8.9470
_cell_angle_alpha 90.00
_cell_angle_beta 125.55
_cell_angle_gamma 90.00
loop_
_space_group_symop_operation_xyz
'x,y,z'
'-x,y,-z'
'x+1/2,y+1/2,z'
'-x+1/2,y+1/2,-z'
loop_
_atom_site_label
_atom_site_type_symbol
_atom_site_fract_x
_atom_site_fract_y
_atom_site_fract_z
Li1 Li 0.0000 0.0000 0.0000
Li2 Li 0.0000 0.2451 0.5000
Ho1 Ho 0.0578 0.8787 0.3456
Ho2 Ho 0.0955 0.3066 0.2390
Ho3 Ho 0.1432 0.5556 0.7377
Ho4 Ho 0.2115 0.6291 0.1525
Ir1 Ir 0.1954 0.5882 0.4604
Ir2 Ir 0.2338 0.3375 0.0394
```



> Number 1 is which compound?

LaHo2IrN4